Ni4Mo4O19: theoretical powder diffraction line list (CuKα), based on a GGA+U-relaxed structure.
Neutral-atom scattering factors, no anomalous dispersion.

Cell and atoms:
```
data_Ni4Mo4O19
_symmetry_space_group_name_H-M 'P 1'
_symmetry_Int_Tables_number 1
_cell_length_a 6.9102
_cell_length_b 6.9633
_cell_length_c 9.3766
_cell_angle_alpha 76.68
_cell_angle_beta 83.70
_cell_angle_gamma 76.03
loop_
_symmetry_equiv_pos_as_xyz
'x,y,z'
loop_
_atom_site_label
_atom_site_type_symbol
_atom_site_fract_x
_atom_site_fract_y
_atom_site_fract_z
Ni1 Ni 0.0000 0.0000 0.0000
Ni2 Ni 0.0441 0.1796 0.2742
Ni3 Ni 0.3302 0.4885 0.6733
Ni4 Ni 0.3850 0.6657 0.9419
Mo1 Mo 0.1884 0.6354 0.2887
Mo2 Mo 0.2047 0.0277 0.6550
Mo3 Mo 0.4424 0.1320 0.0228
Mo4 Mo 0.9406 0.5366 0.9208
O1 O 0.0328 0.4603 0.3005
O2 O 0.0344 0.5231 0.7392
O3 O 0.0491 0.9003 0.2224
O4 O 0.0669 0.7000 0.9857
O5 O 0.1170 0.0544 0.4793
O6 O 0.2783 0.6102 0.4633
O7 O 0.3209 0.9657 0.9575
O8 O 0.3383 0.1484 0.2024
O9 O 0.3416 0.7616 0.7189
O10 O 0.3577 0.2047 0.6461
O11 O 0.3982 0.3834 0.8985
O12 O 0.3996 0.5806 0.1652
O13 O 0.6504 0.4513 0.6022
O14 O 0.6822 0.6401 0.9155
O15 O 0.7013 0.0285 0.0325
O16 O 0.7091 0.5974 0.5242
O17 O 0.7783 0.1838 0.3025
O18 O 0.9899 0.2821 0.0410
O19 O 0.9911 0.0818 0.7771
```

Largest 6 diffraction maxima, in order of rising 2θ, 10° ≤ 2θ ≤ 80°:
| two_theta | I (rel.) | h k l |
| --- | --- | --- |
| 13.22 | 100 | 1 0 0 |
| 22.98 | 25 | 1 0 2 |
| 26.73 | 33 | 1 2 1 |
| 27.01 | 45 | 0 2 0 |
| 28.94 | 34 | 2 0 -1 |
| 29.42 | 32 | 0 0 3 |